Theoretical powder diffractogram
Compound: Cr2NiRh4
Radiation: a wavelength of 1.5418 Å
Structure: a cell relaxed with PBE
Kinematic intensities with the Lorentz-polarization factor, no thermal factor.

Structural model:
```
data_Cr2NiRh4
_chemical_formula_sum 'Cr2 Ni1 Rh4'
_cell_length_a 6.533
_cell_length_b 6.533
_cell_length_c 6.533
_cell_angle_alpha 37.54
_cell_angle_beta 37.54
_cell_angle_gamma 37.54
_symmetry_space_group_name_H-M 'P 1'
_symmetry_Int_Tables_number 1
loop_
_symmetry_equiv_pos_as_xyz
'x,y,z'
loop_
_atom_site_label
_atom_site_fract_x
_atom_site_fract_y
_atom_site_fract_z
Cr1 0.063 0.063 0.063
Cr2 0.937 0.937 0.937
Ni1 0.500 0.500 0.500
Rh1 0.211 0.211 0.211
Rh2 0.366 0.366 0.366
Rh3 0.634 0.634 0.634
Rh4 0.789 0.789 0.789
```

The 10 most intense peaks (2θ = 5–70°), low angle first:
Position (°2θ), I_rel
24.94, 4
26.37, 5
34.86, 19
42.74, 93
43.03, 100
47.11, 1
51.17, 1
56.53, 5
61.11, 3
62.26, 29